[1]
For SmMoBrO4, a PBE+U-relaxed structure gives the theoretical powder X-ray diffraction pattern in this record (Cu Kα X-rays).
No peak broadening, texture or thermal motion is included.

Peak list (6 most intense, 10 to 80 degrees two-theta, in order of falling intensity)
2θ 24.0, I = 100
2θ 25.1, I = 48
2θ 13.3, I = 37
2θ 32.3, I = 27
2θ 29.1, I = 23
2θ 31.0, I = 21

Structure:
```
28
Lattice="7.003 0.000 0.000 -0.303 7.426 0.000 -3.278 -3.275 10.246" Properties=species:S:1:pos:R:3 pbc="T T T"
Sm -0.129 1.865 2.367
Sm -1.428 -1.464 7.482
Sm 4.850 5.614 2.764
Sm 3.551 2.285 7.879
Mo 0.955 5.619 1.371
Mo -0.322 2.328 6.461
Mo 3.744 1.822 3.786
Mo 2.467 -1.468 8.876
Br 0.107 -1.404 4.943
Br 1.982 2.055 0.193
Br 1.440 2.096 10.053
Br 3.315 5.555 5.303
O 0.161 -0.435 1.848
O 0.016 4.217 2.063
O -1.413 3.626 7.161
O -2.155 2.270 9.849
O -0.394 2.271 4.678
O -1.045 0.856 7.206
O 2.051 1.627 3.306
O 2.556 5.749 2.121
O 0.866 -1.598 8.125
O 1.371 2.524 6.940
O 4.467 3.295 3.040
O 3.816 1.880 5.569
O 5.577 1.881 0.397
O 4.835 0.525 3.086
O 3.406 -0.067 8.183
O 3.260 4.585 8.398
```

[2]
For Te15Mo2Br12O2, a PBE+U-relaxed structure gives the theoretical powder X-ray diffraction pattern in this record (Cu Kα X-rays).
No peak broadening, texture or thermal motion is included.

Peak list (6 most intense, 10 to 80 degrees two-theta, in order of falling intensity)
2θ 29.9, I = 100
2θ 25.6, I = 52
2θ 43.6, I = 37
2θ 35.4, I = 26
2θ 23.8, I = 25
2θ 44.3, I = 23

Structure:
```
31
Lattice="8.182 0.000 0.000 -2.058 8.427 0.000 -2.056 -1.833 15.117" Properties=species:S:1:pos:R:3 pbc="T T T"
Te 0.000 0.000 0.000
Te -2.062 3.172 8.118
Te -0.010 1.834 2.178
Te -2.079 5.113 10.515
Te -0.018 1.524 9.156
Te -0.011 -0.812 13.350
Te -0.018 3.939 12.159
Te 2.017 8.421 0.002
Te 2.029 3.160 8.106
Te 4.079 1.830 2.179
Te 2.031 5.094 10.498
Te 4.071 1.517 9.185
Te 4.075 -0.753 13.426
Te 4.062 3.931 12.160
Te 6.126 3.418 1.350
Mo 0.340 6.719 5.196
Mo 4.442 6.713 5.195
Br -2.051 3.110 14.107
Br -0.023 4.182 5.112
Br -0.023 6.815 2.662
Br -0.025 6.596 7.735
Br 2.028 0.810 5.290
Br 2.061 0.102 11.244
Br 2.007 3.098 14.103
Br 4.055 4.170 5.134
Br 4.060 6.740 2.691
Br 4.064 6.583 7.741
Br 6.119 0.787 5.331
Br 6.096 0.102 11.247
O -1.992 6.711 5.203
O 2.087 6.713 5.206
```

[3]
For NaW2Br6O2, a PBE+U-relaxed structure gives the theoretical powder X-ray diffraction pattern in this record (Cu Kα X-rays).
No peak broadening, texture or thermal motion is included.

Peak list (6 most intense, 10 to 80 degrees two-theta, in order of falling intensity)
2θ 24.1, I = 100
2θ 12.5, I = 84
2θ 10.5, I = 81
2θ 31.7, I = 65
2θ 43.3, I = 54
2θ 40.9, I = 24

Structure:
```
11
Lattice="-1.909 5.265 7.093 1.909 -5.265 7.093 1.909 5.265 -7.093" Properties=species:S:1:pos:R:3 pbc="T T T"
Na 0.000 0.000 0.000
W 1.909 3.806 0.000
W 0.000 1.459 7.093
Br 1.909 1.878 -1.721
Br 1.909 1.878 1.721
Br 0.000 0.000 4.996
Br 0.000 0.000 9.190
Br 0.000 3.387 5.372
Br 0.000 3.387 8.814
O 0.000 3.809 0.000
O 0.000 6.720 0.000
```

[4]
For NaW2Br6O2, a PBE+U-relaxed structure gives the theoretical powder X-ray diffraction pattern in this record (Cu Kα X-rays).
No peak broadening, texture or thermal motion is included.

Peak list (6 most intense, 10 to 80 degrees two-theta, in order of falling intensity)
2θ 23.8, I = 100
2θ 12.5, I = 85
2θ 30.2, I = 42
2θ 30.6, I = 38
2θ 41.9, I = 34
2θ 42.3, I = 33

Structure:
```
11
Lattice="9.006 -1.937 0.000 9.006 1.937 0.000 -6.930 0.000 8.888" Properties=species:S:1:pos:R:3 pbc="T T T"
Na 0.000 0.000 0.000
W 4.322 0.000 5.992
W 6.760 0.000 2.896
Br 1.792 0.000 6.236
Br 4.125 0.000 3.293
Br 6.484 0.000 0.334
Br 4.598 0.000 8.555
Br 6.958 0.000 5.596
Br 9.291 0.000 2.652
O -4.630 0.000 5.968
O 15.713 0.000 2.920
```

[5]
For NiBr2O12, a PBE+U-relaxed structure gives the theoretical powder X-ray diffraction pattern in this record (Cu Kα X-rays).
No peak broadening, texture or thermal motion is included.

Peak list (6 most intense, 10 to 80 degrees two-theta, in order of falling intensity)
2θ 26.4, I = 100
2θ 16.1, I = 39
2θ 46.6, I = 30
2θ 18.6, I = 23
2θ 74.3, I = 19
2θ 31.0, I = 18

Structure:
```
60
Lattice="9.555 0.000 0.000 0.000 9.555 0.000 0.000 0.000 9.555" Properties=species:S:1:pos:R:3 pbc="T T T"
Ni 0.000 0.000 0.000
Ni 0.000 4.777 4.777
Ni 4.777 0.000 4.777
Ni 4.777 4.777 0.000
Br 2.260 7.037 7.295
Br 2.260 7.295 2.518
Br 2.518 2.260 7.295
Br 2.518 2.518 2.518
Br 7.037 7.037 7.037
Br 7.037 7.295 2.260
Br 7.295 2.260 7.037
Br 7.295 2.518 2.260
O 0.326 6.499 4.297
O 0.326 7.833 9.075
O 0.480 5.103 6.499
O 0.480 9.229 1.721
O 1.174 1.485 6.584
O 1.174 3.293 1.806
O 1.485 6.584 1.174
O 1.485 7.749 5.951
O 1.721 0.480 9.229
O 1.721 4.297 4.452
O 1.806 1.174 3.293
O 1.806 3.604 8.070
O 2.971 5.951 3.293
O 2.971 8.381 8.070
O 3.056 5.258 9.229
O 3.056 9.075 4.452
O 3.293 1.806 1.174
O 3.293 2.971 5.951
O 3.604 6.262 6.584
O 3.604 8.070 1.806
O 4.297 0.326 6.499
O 4.297 4.452 1.721
O 4.452 1.721 4.297
O 4.452 3.056 9.075
O 5.103 6.499 0.480
O 5.103 7.833 5.258
O 5.258 5.103 7.833
O 5.258 9.229 3.056
O 5.951 1.485 7.749
O 5.951 3.293 2.971
O 6.262 6.584 3.604
O 6.262 7.749 8.381
O 6.499 0.480 5.103
O 6.499 4.297 0.326
O 6.584 1.174 1.485
O 6.584 3.604 6.262
O 7.749 5.951 1.485
O 7.749 8.381 6.262
O 7.833 5.258 5.103
O 7.833 9.075 0.326
O 8.070 1.806 3.604
O 8.070 2.971 8.381
O 8.381 6.262 7.749
O 8.381 8.070 2.971
O 9.075 0.326 7.833
O 9.075 4.452 3.056
O 9.229 1.721 0.480
O 9.229 3.056 5.258
```

[6]
For Ni5Se4Br2O12, a PBE+U-relaxed structure gives the theoretical powder X-ray diffraction pattern in this record (Cu Kα X-rays).
No peak broadening, texture or thermal motion is included.

Peak list (6 most intense, 10 to 80 degrees two-theta, in order of falling intensity)
2θ 31.8, I = 100
2θ 37.3, I = 57
2θ 33.8, I = 54
2θ 28.5, I = 53
2θ 28.3, I = 52
2θ 32.8, I = 39

Structure:
```
23
Lattice="6.516 0.000 0.000 1.133 7.656 0.000 2.161 2.651 7.036" Properties=species:S:1:pos:R:3 pbc="T T T"
Ni 0.000 0.000 0.000
Ni 2.541 6.409 2.971
Ni 4.502 8.419 4.568
Ni 5.309 1.888 2.468
Ni 7.270 3.898 4.065
Se 2.025 1.853 1.619
Se 4.062 4.172 4.847
Se 5.750 6.135 2.189
Se 7.786 8.455 5.417
Br 2.116 5.141 0.119
Br 7.695 5.167 6.917
O 2.548 7.795 4.446
O 2.575 7.872 1.483
O 2.684 4.558 3.854
O 3.532 2.671 5.528
O 3.296 1.760 2.774
O 4.577 6.625 3.377
O 5.234 3.682 3.659
O 6.515 8.547 4.262
O 6.279 7.637 1.508
O 7.127 5.750 3.182
O 7.236 2.435 5.553
O 7.263 2.513 2.590
```

[7]
For Te15W2Br12O2, a PBE+U-relaxed structure gives the theoretical powder X-ray diffraction pattern in this record (Cu Kα X-rays).
No peak broadening, texture or thermal motion is included.

Peak list (6 most intense, 10 to 80 degrees two-theta, in order of falling intensity)
2θ 30.2, I = 100
2θ 35.8, I = 59
2θ 25.2, I = 58
2θ 43.3, I = 54
2θ 24.4, I = 41
2θ 14.6, I = 31

Structure:
```
31
Lattice="7.928 0.000 0.000 -1.990 8.611 0.000 -1.993 -1.953 15.238" Properties=species:S:1:pos:R:3 pbc="T T T"
Te 0.000 0.000 0.000
Te -2.016 3.224 8.181
Te 0.053 1.847 2.175
Te -2.020 5.190 10.583
Te -0.029 1.557 9.276
Te -0.023 -0.930 13.401
Te -0.019 3.956 12.236
Te 1.948 8.608 0.004
Te 1.961 3.197 8.160
Te 3.862 1.855 2.168
Te 1.960 5.163 10.557
Te 3.939 1.543 9.318
Te 3.938 -0.830 13.557
Te 3.928 3.953 12.238
Te 5.927 3.424 1.360
W -0.219 6.825 5.226
W 3.732 6.811 5.227
Br -1.985 3.076 14.200
Br -0.034 4.253 5.144
Br -0.050 6.916 2.656
Br -0.056 6.696 7.791
Br 1.952 0.765 5.319
Br 1.995 0.056 11.260
Br 1.918 3.048 14.193
Br 3.911 4.231 5.174
Br 3.905 6.803 2.684
Br 3.914 6.675 7.799
Br 5.921 0.733 5.364
Br 5.890 0.060 11.266
O -2.078 6.809 5.233
O 1.881 6.815 5.235
```

[8]
For VBr2O, a PBE+U-relaxed structure gives the theoretical powder X-ray diffraction pattern in this record (Cu Kα X-rays).
No peak broadening, texture or thermal motion is included.

Peak list (6 most intense, 10 to 80 degrees two-theta, in order of falling intensity)
2θ 25.2, I = 100
2θ 12.4, I = 56
2θ 30.6, I = 48
2θ 30.5, I = 47
2θ 43.0, I = 41
2θ 34.4, I = 34

Structure:
```
4
Lattice="3.655 0.000 0.000 0.001 3.716 0.000 1.794 1.834 7.127" Properties=species:S:1:pos:R:3 pbc="T T T"
V 0.000 0.000 0.000
Br 1.794 3.691 5.331
Br 3.656 1.858 1.797
O 1.827 0.000 0.000
```

[9]
For VBrO, a PBE+U-relaxed structure gives the theoretical powder X-ray diffraction pattern in this record (Cu Kα X-rays).
No peak broadening, texture or thermal motion is included.

Peak list (6 most intense, 10 to 80 degrees two-theta, in order of falling intensity)
2θ 25.1, I = 100
2θ 32.5, I = 60
2θ 46.3, I = 36
2θ 39.6, I = 24
2θ 36.2, I = 21
2θ 58.4, I = 20

Structure:
```
6
Lattice="3.473 0.000 0.000 0.000 3.854 0.000 0.000 0.000 9.050" Properties=species:S:1:pos:R:3 pbc="T T T"
V 0.868 0.963 0.913
V 2.605 2.890 8.137
Br 0.868 2.890 6.253
Br 2.605 0.963 2.797
O 0.868 2.890 0.334
O 2.605 0.963 8.716
```

[10]
For VBr3O6, a PBE+U-relaxed structure gives the theoretical powder X-ray diffraction pattern in this record (Cu Kα X-rays).
No peak broadening, texture or thermal motion is included.

Peak list (6 most intense, 10 to 80 degrees two-theta, in order of falling intensity)
2θ 25.7, I = 100
2θ 19.8, I = 53
2θ 35.9, I = 42
2θ 29.0, I = 39
2θ 34.3, I = 37
2θ 31.6, I = 32

Structure:
```
20
Lattice="6.024 0.000 0.000 0.000 4.621 0.000 -1.010 0.000 12.304" Properties=species:S:1:pos:R:3 pbc="T T T"
V 0.000 0.000 0.000
V -0.505 2.311 6.152
Br 0.284 0.574 9.975
Br 0.789 1.737 3.823
Br 2.507 0.000 6.152
Br 3.012 2.311 0.000
Br 4.225 2.884 8.482
Br 4.730 4.047 2.329
O -0.124 0.476 6.473
O 0.381 1.834 0.321
O 1.089 2.800 6.731
O 1.594 4.132 0.579
O 1.774 0.249 4.349
O 1.269 2.061 10.501
O 3.745 2.560 1.803
O 3.240 4.372 7.955
O 3.420 0.489 11.725
O 3.925 1.822 5.573
O 4.633 2.787 11.983
O 5.138 4.145 5.831
```